Entry 1:
For Rb8H, DFT lattice parameters and positions (PBE) gives the simulated XRD peak list in this record (λ = 1.5418 Å (Cu Kα)).
Neutral-atom scattering factors, no anomalous dispersion.

Most intense lines, 5 to 70 degrees two-theta, by angle:
hkl, d [Å], I/Imax
2 0 0, 4.240, 23
0 0 2, 4.019, 25
0 2 1, 3.750, 100
2 0 2, 2.917, 17
2 2 0, 2.448, 20
0 2 3, 2.265, 20
2 2 2, 2.091, 22
4 0 1, 2.050, 16

Cell and atoms:
```
data_Rb8H
_space_group_name_H-M_alt 'P -3 m 1'
_space_group_IT_number 164
_space_group_name_Hall '-P 3 2"'
_cell_length_a 9.7915
_cell_length_b 9.7915
_cell_length_c 8.0386
_cell_angle_alpha 90.00
_cell_angle_beta 90.00
_cell_angle_gamma 120.00
loop_
_atom_site_label
_atom_site_type_symbol
_atom_site_fract_x
_atom_site_fract_y
_atom_site_fract_z
_atom_site_occupancy
Rb1 Rb 0.1548 0.3095 0.2728 1
Rb2 Rb 0.3333 0.6667 0.7821 1
H1 H 0.0000 0.0000 0.5000 1
```

Entry 2:
For RbH5, DFT lattice parameters and positions (PBE) gives the simulated XRD peak list in this record (λ = 1.5418 Å (Cu Kα)).
Neutral-atom scattering factors, no anomalous dispersion.

Most intense lines, 5 to 70 degrees two-theta, by angle:
hkl, d [Å], I/Imax
0 0 1, 3.984, 100
2 0 -1, 3.815, 36
1 1 -1, 3.629, 54
2 0 0, 3.075, 18
1 1 1, 2.385, 22
3 1 -1, 2.309, 18
2 2 -1, 2.157, 29
3 1 0, 1.908, 15

Cell and atoms:
```
data_RbH5
_space_group_name_H-M_alt 'C 1 2/m 1'
_space_group_IT_number 12
_space_group_name_Hall '-C 2y'
_cell_length_a 7.7813
_cell_length_b 5.2239
_cell_length_c 5.0490
_cell_angle_alpha 90.00
_cell_angle_beta 127.79
_cell_angle_gamma 90.00
loop_
_atom_site_label
_atom_site_type_symbol
_atom_site_fract_x
_atom_site_fract_y
_atom_site_fract_z
_atom_site_occupancy
Rb1 Rb 0.0000 0.0000 0.0000 1
H1 H 0.0000 0.5000 0.5000 1
H2 H 0.1540 0.5000 0.3150 1
H3 H 0.2250 0.5000 0.2549 1
```

Entry 3:
For Rb2H3, DFT lattice parameters and positions (PBE) gives the simulated XRD peak list in this record (λ = 1.5418 Å (Cu Kα)).
Neutral-atom scattering factors, no anomalous dispersion.

Most intense lines, 5 to 70 degrees two-theta, by angle:
hkl, d [Å], I/Imax
1 0 3, 3.963, 35
1 1 2, 3.690, 100
2 0 0, 2.934, 39
1 0 5, 2.826, 31
2 1 3, 2.358, 18
2 1 5, 2.036, 23
3 1 2, 1.809, 26
2 1 7, 1.731, 14

Cell and atoms:
```
data_Rb2H3
_space_group_name_H-M_alt 'I 41 m d'
_space_group_IT_number 109
_space_group_name_Hall 'I 4bw -2'
_cell_length_a 5.8686
_cell_length_b 5.8686
_cell_length_c 16.1229
_cell_angle_alpha 90.00
_cell_angle_beta 90.00
_cell_angle_gamma 90.00
loop_
_atom_site_label
_atom_site_type_symbol
_atom_site_fract_x
_atom_site_fract_y
_atom_site_fract_z
_atom_site_occupancy
Rb1 Rb 0.0000 0.0000 0.0000 1
Rb2 Rb 0.0000 0.0000 0.4206 1
H1 H 0.0000 0.0000 0.1839 1
H2 H 0.0000 0.0679 0.8210 1
```

Entry 4:
For Rb5H4, DFT lattice parameters and positions (PBE) gives the simulated XRD peak list in this record (λ = 1.5418 Å (Cu Kα)).
Neutral-atom scattering factors, no anomalous dispersion.

Most intense lines, 5 to 70 degrees two-theta, by angle:
hkl, d [Å], I/Imax
1 2 1, 3.538, 100
3 1 0, 3.077, 37
0 0 2, 3.037, 18
2 4 0, 2.176, 12
3 1 2, 2.161, 26
5 0 1, 1.853, 28
1 2 3, 1.836, 15
2 4 2, 1.769, 13

Cell and atoms:
```
data_Rb5H4
_space_group_name_H-M_alt 'I 4/m'
_space_group_IT_number 87
_space_group_name_Hall '-I 4'
_cell_length_a 9.7317
_cell_length_b 9.7317
_cell_length_c 6.0732
_cell_angle_alpha 90.00
_cell_angle_beta 90.00
_cell_angle_gamma 90.00
loop_
_atom_site_label
_atom_site_type_symbol
_atom_site_fract_x
_atom_site_fract_y
_atom_site_fract_z
_atom_site_occupancy
Rb1 Rb 0.0000 0.0000 0.0000 1
Rb2 Rb 0.1115 0.6858 0.5000 1
H1 H 0.1018 0.6970 0.0000 1
```

Entry 5:
For Rb3ReH6, DFT lattice parameters and positions (PBE) gives the simulated XRD peak list in this record (λ = 1.5418 Å (Cu Kα)).
Neutral-atom scattering factors, no anomalous dispersion.

Most intense lines, 5 to 70 degrees two-theta, by angle:
hkl, d [Å], I/Imax
2 0 -1, 5.122, 16
1 1 1, 3.140, 100
3 1 -1, 3.130, 50
4 0 0, 2.218, 29
2 0 2, 1.814, 25
4 2 0, 1.809, 30
2 2 2, 1.570, 13
5 1 1, 1.404, 18

Cell and atoms:
```
data_Rb3ReH6
_space_group_name_H-M_alt 'C 1 2/m 1'
_space_group_IT_number 12
_space_group_name_Hall '-C 2y'
_cell_length_a 10.8334
_cell_length_b 6.2749
_cell_length_c 6.2752
_cell_angle_alpha 90.00
_cell_angle_beta 125.08
_cell_angle_gamma 90.00
loop_
_atom_site_label
_atom_site_type_symbol
_atom_site_fract_x
_atom_site_fract_y
_atom_site_fract_z
_atom_site_occupancy
Rb1 Rb 0.0000 0.0000 0.0000 1
Rb2 Rb 0.2499 0.0000 0.7508 1
Re1 Re 0.0000 0.5000 0.5000 1
H1 H 0.0019 0.2990 0.7029 1
H2 H 0.2012 0.5000 0.7072 1
```

Entry 6:
For RbReH, DFT lattice parameters and positions (PBE) gives the simulated XRD peak list in this record (λ = 1.5418 Å (Cu Kα)).
Neutral-atom scattering factors, no anomalous dispersion.

Most intense lines, 5 to 70 degrees two-theta, by angle:
hkl, d [Å], I/Imax
0 0 1, 11.786, 100
0 0 2, 5.893, 6
0 0 3, 3.929, 13
0 1 -2, 2.811, 6
1 0 -2, 2.700, 7
1 0 3, 2.649, 7
0 1 3, 2.538, 6
1 -1 0, 2.290, 12

Cell and atoms:
```
data_RbReH
_space_group_name_H-M_alt 'P -1'
_space_group_IT_number 2
_space_group_name_Hall '-P 1'
_cell_length_a 3.2474
_cell_length_b 3.2486
_cell_length_c 11.8711
_cell_angle_alpha 88.43
_cell_angle_beta 83.30
_cell_angle_gamma 90.00
loop_
_atom_site_label
_atom_site_type_symbol
_atom_site_fract_x
_atom_site_fract_y
_atom_site_fract_z
_atom_site_occupancy
Rb1 Rb 0.1211 0.2196 0.3023 1
Re1 Re 0.2715 0.2551 0.9495 1
H1 H 0.3347 0.2701 0.8015 1
```

Entry 7:
For Rb3H7Rh, DFT lattice parameters and positions (PBE) gives the simulated XRD peak list in this record (λ = 1.5418 Å (Cu Kα)).
Neutral-atom scattering factors, no anomalous dispersion.

Most intense lines, 5 to 70 degrees two-theta, by angle:
hkl, d [Å], I/Imax
0 2 1, 3.355, 100
2 0 1, 3.230, 88
0 0 2, 2.894, 36
2 2 0, 2.828, 63
2 2 -2, 2.025, 23
2 2 2, 2.020, 23
2 4 1, 1.736, 27
4 2 1, 1.683, 22

Cell and atoms:
```
data_Rb3H7Rh
_space_group_name_H-M_alt 'C 1 m 1'
_space_group_IT_number 8
_space_group_name_Hall 'C -2y'
_cell_length_a 7.7839
_cell_length_b 8.2332
_cell_length_c 5.7879
_cell_angle_alpha 90.00
_cell_angle_beta 90.18
_cell_angle_gamma 90.00
loop_
_atom_site_label
_atom_site_type_symbol
_atom_site_fract_x
_atom_site_fract_y
_atom_site_fract_z
_atom_site_occupancy
Rb1 Rb 0.0000 0.0000 0.0000 1
Rb2 Rb 0.2096 0.2611 0.5000 1
H1 H 0.1238 0.3861 0.0012 1
H2 H 0.3840 0.1891 0.9988 1
H3 H 0.4498 0.0000 0.2885 1
H4 H 0.4526 0.0000 0.7101 1
H5 H 0.4714 0.5000 0.4999 1
Rh1 Rh 0.4547 0.0000 0.9993 1
```

Entry 8:
For RbHRh2, DFT lattice parameters and positions (PBE) gives the simulated XRD peak list in this record (λ = 1.5418 Å (Cu Kα)).
Neutral-atom scattering factors, no anomalous dispersion.

Most intense lines, 5 to 70 degrees two-theta, by angle:
hkl, d [Å], I/Imax
1 1 1, 4.751, 14
2 2 0, 2.909, 22
3 1 1, 2.481, 100
2 2 2, 2.375, 48
4 0 0, 2.057, 8
4 2 2, 1.680, 8
5 1 1, 1.584, 33
4 4 0, 1.455, 30

Cell and atoms:
a b c (Å): 8.2286 8.2286 8.2286
angles (deg): 90.00 90.00 90.00
Space group Fd-3m (No. 227, origin choice 2)
Unique sites:
Rb1 0.1250 0.1250 0.1250 [8 per cell]
H1 0.1250 0.1250 0.6250 [8 per cell]
Rh1 0.0000 0.0000 0.5000 [16 per cell]

Entry 9:
For Rb4H6Rh, DFT lattice parameters and positions (PBE) gives the simulated XRD peak list in this record (λ = 1.5418 Å (Cu Kα)).
Neutral-atom scattering factors, no anomalous dispersion.

Most intense lines, 5 to 70 degrees two-theta, by angle:
hkl, d [Å], I/Imax
0 1 2, 5.786, 34
2 0 2, 4.043, 44
1 1 3, 3.651, 58
3 0 0, 3.264, 63
0 2 4, 2.893, 100
2 2 0, 2.827, 45
1 3 1, 2.668, 49
3 2 4, 1.904, 36

Cell and atoms:
```
data_Rb4H6Rh
_space_group_name_H-M_alt 'R -3 c'
_space_group_IT_number 167
_space_group_name_Hall '-R 3 2"c'
_cell_length_a 11.3063
_cell_length_b 11.3063
_cell_length_c 14.3433
_cell_angle_alpha 90.00
_cell_angle_beta 90.00
_cell_angle_gamma 120.00
loop_
_atom_site_label
_atom_site_type_symbol
_atom_site_fract_x
_atom_site_fract_y
_atom_site_fract_z
_atom_site_occupancy
Rb1 Rb 0.0000 0.0000 0.2500 1
Rb2 Rb 0.0000 0.4237 0.2500 1
H1 H 0.0354 0.1361 0.4318 1
Rh1 Rh 0.0000 0.0000 0.0000 1
```

Entry 10:
For RbHS5, DFT lattice parameters and positions (PBE) gives the simulated XRD peak list in this record (λ = 1.5418 Å (Cu Kα)).
Neutral-atom scattering factors, no anomalous dispersion.

Most intense lines, 5 to 70 degrees two-theta, by angle:
hkl, d [Å], I/Imax
0 4 0, 4.565, 37
1 1 0, 4.535, 38
1 3 0, 3.711, 46
1 3 -1, 3.490, 100
1 5 0, 2.879, 22
0 4 1, 2.841, 51
2 2 -1, 2.696, 53
1 7 0, 2.280, 27

Cell and atoms:
```
data_RbHS5
_space_group_name_H-M_alt 'C 1 2 1'
_space_group_IT_number 5
_space_group_name_Hall 'C 2y'
_cell_length_a 5.6694
_cell_length_b 18.2583
_cell_length_c 4.3967
_cell_angle_alpha 90.00
_cell_angle_beta 124.34
_cell_angle_gamma 90.00
loop_
_atom_site_label
_atom_site_type_symbol
_atom_site_fract_x
_atom_site_fract_y
_atom_site_fract_z
_atom_site_occupancy
Rb1 Rb 0.0000 0.0000 0.0000 1
H1 H 0.0000 0.3852 0.5000 1
S1 S 0.0000 0.1430 0.5000 1
S2 S 0.1608 0.3911 0.2774 1
S3 S 0.1972 0.7089 0.0389 1
```

Entry 11:
For RbH3S2, DFT lattice parameters and positions (PBE) gives the simulated XRD peak list in this record (λ = 1.5418 Å (Cu Kα)).
Neutral-atom scattering factors, no anomalous dispersion.

Most intense lines, 5 to 70 degrees two-theta, by angle:
hkl, d [Å], I/Imax
0 2 -1, 3.706, 37
0 0 2, 3.426, 32
1 0 1, 3.385, 100
1 -2 0, 3.360, 83
0 2 -2, 3.272, 44
1 0 -2, 3.232, 63
0 2 1, 2.503, 38
2 -2 1, 2.282, 44

Cell and atoms:
```
data_RbH3S2
_space_group_name_H-M_alt 'P -1'
_space_group_IT_number 2
_space_group_name_Hall '-P 1'
_cell_length_a 5.0487
_cell_length_b 7.7980
_cell_length_c 7.8751
_cell_angle_alpha 114.67
_cell_angle_beta 96.98
_cell_angle_gamma 108.11
loop_
_atom_site_label
_atom_site_type_symbol
_atom_site_fract_x
_atom_site_fract_y
_atom_site_fract_z
_atom_site_occupancy
Rb1 Rb 0.2226 0.1445 0.3017 1
H1 H 0.1473 0.5570 0.8228 1
H2 H 0.2272 0.6777 0.2231 1
H3 H 0.3760 0.3215 0.9088 1
S1 S 0.0884 0.6077 0.3372 1
S2 S 0.4764 0.1901 0.9352 1
```

Entry 12:
For RbSbH, DFT lattice parameters and positions (PBE) gives the simulated XRD peak list in this record (λ = 1.5418 Å (Cu Kα)).
Neutral-atom scattering factors, no anomalous dispersion.

Most intense lines, 5 to 70 degrees two-theta, by angle:
hkl, d [Å], I/Imax
0 0 1, 6.662, 72
1 1 0, 3.546, 67
1 -1 1, 3.517, 79
0 2 -1, 2.899, 77
-1 1 1, 2.848, 100
1 1 -2, 2.804, 88
1 0 2, 2.722, 55
2 0 0, 2.362, 44

Cell and atoms:
```
data_RbSbH
_space_group_name_H-M_alt 'P 1'
_space_group_IT_number 1
_space_group_name_Hall 'P 1'
_cell_length_a 4.7239
_cell_length_b 5.8006
_cell_length_c 7.2016
_cell_angle_alpha 112.32
_cell_angle_beta 90.05
_cell_angle_gamma 90.02
loop_
_atom_site_label
_atom_site_type_symbol
_atom_site_fract_x
_atom_site_fract_y
_atom_site_fract_z
_atom_site_occupancy
Rb1 Rb 0.0000 0.0000 0.0000 1
Rb2 Rb 0.4986 0.7550 0.4736 1
Sb1 Sb 0.4995 0.4369 0.8610 1
Sb2 Sb 0.9993 0.3120 0.6013 1
H1 H 0.9960 0.5546 0.1894 1
H2 H 0.9978 0.5224 0.2841 1
```